Structure and computed PXRD pattern of LiVSiO4 (a structure optimized by DFT (PBE+U); Cu Kα (λ = 1.5418 Å)).
No peak broadening, texture or thermal motion is included.

Cell and atoms:
Cell: 5.6463 6.3822 9.3294 Å, 75.69 80.31 74.13°
Space group P-1 (No. 2)
Asymmetric unit:
Li: 0.1718 0.1237 0.1463 [2 per cell]
Li: 0.3184 0.9344 0.7805 [2 per cell]
V: 0.2111 0.3375 0.4252 [2 per cell]
V: 0.2973 0.4261 0.7946 [2 per cell]
Si: 0.1604 0.6741 0.0953 [2 per cell]
Si: 0.3285 0.7905 0.4631 [2 per cell]
O: 0.1076 0.4423 0.2135 [2 per cell]
O: 0.1332 0.6511 0.4488 [2 per cell]
O: 0.1339 0.1744 0.9023 [2 per cell]
O: 0.2190 0.0485 0.3908 [2 per cell]
O: 0.2466 0.6435 0.9242 [2 per cell]
O: 0.3585 0.7737 0.1497 [2 per cell]
O: 0.3792 0.2697 0.6173 [2 per cell]
O: 0.3946 0.7143 0.6395 [2 per cell]

Top 12 peaks for 10 to 80 degrees two-theta, most intense first:
2θ (°)	intensity
14.77	100
22.06	45
33.18	40
29.81	31
32.17	29
24.36	28
35.78	28
23.85	26
34.51	25
32.58	24
52.10	22
32.36	15